Theoretical powder X-ray diffraction pattern
Compound: LiTa4O12
Radiation: copper Kα
Structure: a GGA-PBE-relaxed structure
No peak broadening, texture or thermal motion is included.

Top 10 peaks for 2θ = 10–90°, by intensity:
22.46 deg, rel. 100, (2 0 0)
31.98 deg, rel. 57, (2 2 0)
51.63 deg, rel. 42, (4 2 0)
56.99 deg, rel. 24, (4 2 2)
45.85 deg, rel. 20, (4 0 0)
71.51 deg, rel. 19, (4 4 2)
39.43 deg, rel. 14, (2 2 2)
66.85 deg, rel. 12, (4 4 0)
76.03 deg, rel. 10, (6 2 0)
89.21 deg, rel. 9, (6 0 4)

Atomic structure:
```
data_LiTa4O12
_symmetry_space_group_name_H-M 'I m -3'
_symmetry_Int_Tables_number 204
_symmetry_space_group_name_Hall '-I 2 2 3'
_cell_length_a 7.916
_cell_length_b 7.916
_cell_length_c 7.916
_cell_angle_alpha 90.00
_cell_angle_beta 90.00
_cell_angle_gamma 90.00
loop_
_atom_site_label
_atom_site_fract_x
_atom_site_fract_y
_atom_site_fract_z
_atom_site_occupancy
Li1 0.000 0.000 0.000 1
Ta1 0.250 0.250 0.250 1
O1 0.000 0.251 0.240 1
```